[1]
Structure and simulated powder X-ray diffraction pattern of La7Nd4Y (a DFT-relaxed cell (PBE, Alexandria); Cu Kα (weighted mean of Kα1 and Kα2)).
Lines closer than 0.1° are merged.

Atomic structure:
abc: 6.417 7.394 9.801
angles: 78.95 71.21 89.90
Positions (direct):
La (0.000, 0.000, 0.000)
La (0.167, 0.417, 0.333)
La (0.333, 0.833, 0.667)
La (0.499, 0.252, 0.000)
La (0.501, 0.748, 0.000)
La (0.667, 0.167, 0.333)
La (0.833, 0.583, 0.667)
Nd (0.167, 0.916, 0.333)
Nd (0.334, 0.334, 0.667)
Nd (0.666, 0.666, 0.333)
Nd (0.833, 0.084, 0.667)
Y (0.000, 0.500, 0.000)

Peak list (8 most intense, 2θ from 10° to 90°, by angle)
- 3.026 Å, intensity 100
- 3.020 Å, intensity 33
- 2.628 Å, intensity 23
- 2.619 Å, intensity 23
- 2.610 Å, intensity 22
- 1.854 Å, intensity 16
- 1.849 Å, intensity 24
- 1.584 Å, intensity 15

=====

[2]
Structure and simulated powder X-ray diffraction pattern of La4Nd5Y4 (a DFT-relaxed cell (PBE, Alexandria); Cu Kα (weighted mean of Kα1 and Kα2)).
Lines closer than 0.1° are merged.

Atomic structure:
abc: 5.201 9.698 9.702
angles: 85.94 74.50 74.50
Positions (direct):
La (0.076, 0.307, 0.039)
La (0.385, 0.539, 0.193)
La (0.615, 0.461, 0.807)
La (0.924, 0.693, 0.961)
Nd (0.000, 0.000, 0.500)
Nd (0.310, 0.231, 0.649)
Nd (0.459, 0.851, 0.731)
Nd (0.541, 0.149, 0.269)
Nd (0.690, 0.769, 0.351)
Y (0.153, 0.616, 0.577)
Y (0.231, 0.923, 0.116)
Y (0.769, 0.077, 0.884)
Y (0.847, 0.384, 0.423)

Peak list (8 most intense, 2θ from 10° to 90°, by angle)
- 2.996 Å, intensity 100
- 2.597 Å, intensity 34
- 2.591 Å, intensity 17
- 1.836 Å, intensity 24
- 1.833 Å, intensity 12
- 1.567 Å, intensity 14
- 1.564 Å, intensity 29
- 1.498 Å, intensity 12

=====

[3]
Structure and simulated powder X-ray diffraction pattern of La7NdY12 (a DFT-relaxed cell (PBE, Alexandria); Cu Kα (weighted mean of Kα1 and Kα2)).
Lines closer than 0.1° are merged.

Atomic structure:
abc: 8.915 8.915 8.915
angles: 86.21 86.21 86.21
Positions (direct):
La (0.000, 0.000, 0.000)
La (0.107, 0.338, 0.419)
La (0.338, 0.419, 0.107)
La (0.419, 0.107, 0.338)
La (0.581, 0.893, 0.662)
La (0.662, 0.581, 0.893)
La (0.893, 0.662, 0.581)
Nd (0.500, 0.500, 0.500)
Y (0.003, 0.364, 0.882)
Y (0.118, 0.997, 0.636)
Y (0.226, 0.755, 0.357)
Y (0.245, 0.643, 0.774)
Y (0.357, 0.226, 0.755)
Y (0.364, 0.882, 0.003)
Y (0.636, 0.118, 0.997)
Y (0.643, 0.774, 0.245)
Y (0.755, 0.357, 0.226)
Y (0.774, 0.245, 0.643)
Y (0.882, 0.003, 0.364)
Y (0.997, 0.636, 0.118)

Peak list (8 most intense, 2θ from 10° to 90°, by angle)
- 3.828 Å, intensity 19
- 3.241 Å, intensity 20
- 3.137 Å, intensity 32
- 2.959 Å, intensity 43
- 2.881 Å, intensity 100
- 2.861 Å, intensity 44
- 2.757 Å, intensity 73
- 1.690 Å, intensity 21

=====

[4]
Structure and simulated powder X-ray diffraction pattern of La8Nd5Y (a DFT-relaxed cell (PBE, Alexandria); Cu Kα (weighted mean of Kα1 and Kα2)).
Lines closer than 0.1° are merged.

Atomic structure:
abc: 8.749 8.749 8.749
angles: 110.66 110.66 107.12
Positions (direct):
La (0.077, 0.337, 0.601)
La (0.177, 0.442, 0.106)
La (0.336, 0.071, 0.894)
La (0.525, 0.923, 0.260)
La (0.558, 0.664, 0.735)
La (0.663, 0.264, 0.740)
La (0.736, 0.475, 0.399)
La (0.929, 0.823, 0.265)
Nd (0.030, 0.720, 0.897)
Nd (0.280, 0.177, 0.309)
Nd (0.500, 0.500, 0.000)
Nd (0.823, 0.132, 0.103)
Nd (0.868, 0.970, 0.691)
Y (0.250, 0.750, 0.500)

Peak list (8 most intense, 2θ from 10° to 90°, by angle)
- 3.272 Å, intensity 58
- 3.161 Å, intensity 66
- 3.148 Å, intensity 81
- 2.914 Å, intensity 27
- 2.734 Å, intensity 100
- 2.692 Å, intensity 41
- 2.668 Å, intensity 49
- 1.726 Å, intensity 25

=====

Please write out number 2 again, unchanged.
Structure and simulated powder X-ray diffraction pattern of La4Nd5Y4 (a DFT-relaxed cell (PBE, Alexandria); Cu Kα (weighted mean of Kα1 and Kα2)).
Lines closer than 0.1° are merged.

Atomic structure:
abc: 5.201 9.698 9.702
angles: 85.94 74.50 74.50
Positions (direct):
La (0.076, 0.307, 0.039)
La (0.385, 0.539, 0.193)
La (0.615, 0.461, 0.807)
La (0.924, 0.693, 0.961)
Nd (0.000, 0.000, 0.500)
Nd (0.310, 0.231, 0.649)
Nd (0.459, 0.851, 0.731)
Nd (0.541, 0.149, 0.269)
Nd (0.690, 0.769, 0.351)
Y (0.153, 0.616, 0.577)
Y (0.231, 0.923, 0.116)
Y (0.769, 0.077, 0.884)
Y (0.847, 0.384, 0.423)

Peak list (8 most intense, 2θ from 10° to 90°, by angle)
- 2.996 Å, intensity 100
- 2.597 Å, intensity 34
- 2.591 Å, intensity 17
- 1.836 Å, intensity 24
- 1.833 Å, intensity 12
- 1.567 Å, intensity 14
- 1.564 Å, intensity 29
- 1.498 Å, intensity 12